Diffraction record for FeAgSbS4N6. The XRD peak list is computed, not measured: it uses DFT lattice parameters and positions (GGA-PBE) and copper Kα.
Kinematic intensities with the Lorentz-polarization factor, no thermal factor.

Atomic structure:
Cell lengths 7.2952, 7.2952, 8.6247 Å; angles 90.00, 90.00, 90.00 degrees
Atoms (fractional coordinates):
Fe (0.0000, 0.5000, 0.2500)
Fe (0.5000, 0.0000, 0.7500)
Ag (0.0000, 0.0000, 0.0000)
Ag (0.5000, 0.5000, 0.5000)
Sb (0.0000, 0.0000, 0.5000)
Sb (0.5000, 0.5000, 0.0000)
S (0.0948, 0.2074, 0.7536)
S (0.2074, 0.9052, 0.2464)
S (0.2926, 0.4052, 0.7464)
S (0.4052, 0.7074, 0.2536)
S (0.5948, 0.2926, 0.2536)
S (0.7074, 0.5948, 0.7464)
S (0.7926, 0.0948, 0.2464)
S (0.9052, 0.7926, 0.7536)
N (0.0549, 0.5559, 0.4925)
N (0.0559, 0.5549, 0.0075)
N (0.1624, 0.3376, 0.2500)
N (0.3376, 0.8376, 0.7500)
N (0.4441, 0.0549, 0.5075)
N (0.4451, 0.0559, 0.9925)
N (0.5549, 0.9441, 0.9925)
N (0.5559, 0.9451, 0.5075)
N (0.6624, 0.1624, 0.7500)
N (0.8376, 0.6624, 0.2500)
N (0.9441, 0.4451, 0.0075)
N (0.9451, 0.4441, 0.4925)

The 12 most intense peaks (2θ from 5° to 70°), by intensity:
2θ = 24.4°, I 100; 2θ = 26.9°, I 88; 2θ = 44.5°, I 81; 2θ = 32.1°, I 79; 2θ = 17.2°, I 53; 2θ = 41.9°, I 45; 2θ = 34.8°, I 39; 2θ = 29.3°, I 36; 2θ = 40.8°, I 34; 2θ = 49.1°, I 28; 2θ = 56.4°, I 28; 2θ = 55.6°, I 19

---

Diffraction record for Nd6Fe13Ag. The XRD peak list is computed, not measured: it uses DFT lattice parameters and positions (GGA-PBE) and copper Kα.
Kinematic intensities with the Lorentz-polarization factor, no thermal factor.

Atomic structure:
Cell lengths 12.8899, 12.8899, 12.8899 Å; angles 143.63, 143.63, 52.39 degrees
Atoms (fractional coordinates):
Nd (0.0224, 0.5224, 0.1746)
Nd (0.1055, 0.1055, 0.0000)
Nd (0.1521, 0.9776, 0.5000)
Nd (0.3479, 0.8479, 0.8254)
Nd (0.3945, 0.3945, 0.0000)
Nd (0.4776, 0.6521, 0.5000)
Nd (0.5224, 0.3479, 0.5000)
Nd (0.6055, 0.6055, 0.0000)
Nd (0.6521, 0.1521, 0.1746)
Nd (0.8479, 0.0224, 0.5000)
Nd (0.8945, 0.8945, 0.0000)
Nd (0.9776, 0.4776, 0.8254)
Fe (0.0000, 0.5000, 0.5000)
Fe (0.0192, 0.2910, 0.5000)
Fe (0.0665, 0.2100, 0.2765)
Fe (0.1197, 0.6197, 0.8576)
Fe (0.2090, 0.4808, 0.5000)
Fe (0.2100, 0.9335, 0.1435)
Fe (0.2379, 0.7379, 0.8576)
Fe (0.2621, 0.1197, 0.5000)
Fe (0.2900, 0.4335, 0.7235)
Fe (0.2910, 0.7910, 0.2718)
Fe (0.3803, 0.2379, 0.5000)
Fe (0.4335, 0.7100, 0.1435)
Fe (0.4808, 0.9808, 0.2718)
Fe (0.5000, 0.0000, 0.5000)
Fe (0.5192, 0.0192, 0.7282)
Fe (0.5665, 0.2900, 0.8565)
Fe (0.6197, 0.7621, 0.5000)
Fe (0.7090, 0.2090, 0.7282)
Fe (0.7100, 0.5665, 0.2765)
Fe (0.7379, 0.8803, 0.5000)
Fe (0.7621, 0.2621, 0.1424)
Fe (0.7900, 0.0665, 0.8565)
Fe (0.7910, 0.5192, 0.5000)
Fe (0.8803, 0.3803, 0.1424)
Fe (0.9335, 0.7900, 0.7235)
Fe (0.9808, 0.7090, 0.5000)
Ag (0.2500, 0.2500, 0.0000)
Ag (0.7500, 0.7500, 0.0000)

The 12 most intense peaks (2θ from 5° to 70°), by intensity:
2θ = 31.5°, I 100; 2θ = 35.3°, I 85; 2θ = 27.4°, I 74; 2θ = 38.3°, I 58; 2θ = 43.3°, I 45; 2θ = 46.7°, I 36; 2θ = 67.6°, I 35; 2θ = 58.2°, I 31; 2θ = 34.8°, I 31; 2θ = 32.2°, I 31; 2θ = 38.7°, I 26; 2θ = 7.6°, I 26

---

Diffraction record for FeNi2Ag. The XRD peak list is computed, not measured: it uses DFT lattice parameters and positions (GGA-PBE) and copper Kα.
Kinematic intensities with the Lorentz-polarization factor, no thermal factor.

Atomic structure:
Cell lengths 2.6537, 3.6345, 5.3756 Å; angles 90.00, 90.00, 90.00 degrees
Atoms (fractional coordinates):
Fe (0.0000, 0.0000, 0.0000)
Ni (0.0000, 0.0000, 0.4371)
Ni (0.5000, 0.5000, 0.2093)
Ag (0.5000, 0.5000, 0.7079)

The 12 most intense peaks (2θ from 5° to 70°), by intensity:
2θ = 42.2°, I 100; 2θ = 41.8°, I 96; 2θ = 48.2°, I 62; 2θ = 50.2°, I 29; 2θ = 29.7°, I 15; 2θ = 37.8°, I 8; 2θ = 24.5°, I 7; 2θ = 68.2°, I 6; 2θ = 33.3°, I 4; 2θ = 54.8°, I 4; 2θ = 51.0°, I 4; 2θ = 16.5°, I 3